# 1
Structure and simulated powder diffractogram of KPmGa4 (DFT lattice parameters and positions (PBE); copper Kα).

Peak list (12 most intense, 2θ = 5–70°, most intense first)
2θ 36.90, I = 100.0
2θ 38.60, I = 34.4
2θ 31.31, I = 32.8
2θ 59.44, I = 32.2
2θ 65.33, I = 24.7
2θ 19.03, I = 12.4
2θ 55.74, I = 12.3
2θ 22.00, I = 11.7
2θ 50.52, I = 6.0
2θ 49.15, I = 3.0
2θ 69.85, I = 2.8
2θ 68.73, I = 2.6

Cell and atoms:
a b c (Å): 8.080 8.080 8.080
angles (deg): 90.00 90.00 90.00
Space group F-43m (No. 216)
Symmetry-distinct sites (fractional):
K 0.000 0.000 0.000 [4 per cell]
Pm 0.250 0.250 0.250 [4 per cell]
Ga 0.124 0.124 0.624 [16 per cell]

# 2
Structure and simulated powder diffractogram of K2PrGaTe4 (DFT lattice parameters and positions (PBE); copper Kα).

Peak list (12 most intense, 2θ = 5–70°, most intense first)
2θ 26.55, I = 100.0
2θ 26.94, I = 95.0
2θ 38.19, I = 71.4
2θ 27.59, I = 71.2
2θ 38.67, I = 54.9
2θ 11.88, I = 37.9
2θ 11.35, I = 36.6
2θ 48.90, I = 31.0
2θ 40.29, I = 28.6
2θ 46.58, I = 27.9
2θ 37.56, I = 25.0
2θ 61.99, I = 14.9

Cell and atoms:
a b c (Å): 12.960 13.429 8.956
angles (deg): 90.00 132.35 90.00
Space group C2/c (No. 15)
Symmetry-distinct sites (fractional):
K 0.000 0.000 0.000 [4 per cell]
K 0.250 0.250 0.000 [4 per cell]
Pr 0.250 0.250 0.500 [4 per cell]
Ga 0.000 0.500 0.000 [4 per cell]
Te 0.002 0.262 0.018 [8 per cell]
Te 0.200 0.493 0.473 [8 per cell]

# 3
Structure and simulated powder diffractogram of KRbGa (DFT lattice parameters and positions (PBE); copper Kα).

Peak list (12 most intense, 2θ = 5–70°, most intense first)
2θ 9.19, I = 100.0
2θ 25.34, I = 37.7
2θ 26.77, I = 36.7
2θ 25.65, I = 31.9
2θ 27.57, I = 26.4
2θ 27.69, I = 22.6
2θ 47.30, I = 22.2
2θ 23.35, I = 19.1
2θ 32.89, I = 18.7
2θ 28.15, I = 18.0
2θ 39.04, I = 16.8
2θ 23.85, I = 16.2

Cell and atoms:
a b c (Å): 6.980 4.615 9.953
angles (deg): 90.00 104.83 90.00
Space group P2_1/m (No. 11)
Symmetry-distinct sites (fractional):
K 0.199 0.250 0.336 [2 per cell]
Rb 0.353 0.250 0.820 [2 per cell]
Ga 0.074 0.750 0.024 [2 per cell]

# 4
Structure and simulated powder diffractogram of K2Rb2Ga (DFT lattice parameters and positions (PBE); copper Kα).

Peak list (12 most intense, 2θ = 5–70°, most intense first)
2θ 24.31, I = 100.0
2θ 12.17, I = 43.4
2θ 24.49, I = 37.1
2θ 29.81, I = 32.5
2θ 38.95, I = 30.9
2θ 32.31, I = 24.3
2θ 41.19, I = 21.3
2θ 43.00, I = 20.4
2θ 64.27, I = 12.2
2θ 20.96, I = 11.3
2θ 26.60, I = 10.6
2θ 55.05, I = 10.5

Cell and atoms:
a b c (Å): 9.477 9.477 7.270
angles (deg): 90.00 90.00 90.00
Space group P4/mbm (No. 127)
Symmetry-distinct sites (fractional):
K 0.183 0.317 0.000 [4 per cell]
Rb 0.158 0.658 0.500 [4 per cell]
Ga 0.000 0.000 0.500 [2 per cell]

# 5
Structure and simulated powder diffractogram of K2RbGa2Sb2 (DFT lattice parameters and positions (PBE); copper Kα).

Peak list (12 most intense, 2θ = 5–70°, most intense first)
2θ 13.60, I = 100.0
2θ 28.78, I = 82.8
2θ 28.18, I = 82.3
2θ 37.73, I = 80.0
2θ 8.76, I = 72.2
2θ 15.28, I = 63.9
2θ 34.53, I = 53.4
2θ 26.50, I = 49.0
2θ 17.07, I = 47.9
2θ 27.11, I = 47.6
2θ 29.39, I = 36.6
2θ 40.71, I = 36.4

Cell and atoms:
a b c (Å): 13.120 4.432 10.163
angles (deg): 90.00 96.90 90.00
Space group C2/m (No. 12)
Symmetry-distinct sites (fractional):
K 0.179 0.000 0.149 [4 per cell]
Rb 0.000 0.500 0.500 [2 per cell]
Ga 0.034 0.500 0.892 [4 per cell]
Sb 0.102 0.000 0.780 [4 per cell]

# 6
Structure and simulated powder diffractogram of KRb2GaSn2 (DFT lattice parameters and positions (PBE); copper Kα).

Peak list (12 most intense, 2θ = 5–70°, most intense first)
2θ 31.84, I = 100.0
2θ 26.82, I = 84.3
2θ 12.24, I = 59.4
2θ 40.40, I = 33.5
2θ 42.61, I = 28.4
2θ 30.04, I = 27.5
2θ 29.41, I = 26.0
2θ 24.94, I = 25.8
2θ 31.72, I = 21.7
2θ 24.48, I = 18.9
2θ 39.12, I = 18.5
2θ 28.99, I = 18.1

Cell and atoms:
a b c (Å): 4.464 9.111 11.900
angles (deg): 90.00 90.00 90.00
Space group Pmc2_1 (No. 26)
Symmetry-distinct sites (fractional):
K 0.000 0.013 0.000 [2 per cell]
Rb 0.000 0.303 0.679 [2 per cell]
Rb 0.500 0.372 0.011 [2 per cell]
Ga 0.500 0.256 0.429 [2 per cell]
Sn 0.000 0.283 0.256 [2 per cell]
Sn 0.500 0.051 0.257 [2 per cell]

# 7
Structure and simulated powder diffractogram of KGa6S8 (DFT lattice parameters and positions (PBE); copper Kα).

Peak list (12 most intense, 2θ = 5–70°, most intense first)
2θ 30.77, I = 100.0
2θ 27.74, I = 79.6
2θ 52.88, I = 49.6
2θ 25.21, I = 44.8
2θ 12.53, I = 40.8
2θ 47.07, I = 34.8
2θ 49.93, I = 33.4
2θ 42.26, I = 29.7
2θ 30.31, I = 27.0
2θ 55.51, I = 24.6
2θ 22.73, I = 24.2
2θ 47.38, I = 20.8

Cell and atoms:
a b c (Å): 10.2164 10.2164 11.7356
angles (deg): 90.00 90.00 120.00
Space group R-3 (No. 148, hexagonal axes)
Symmetry-distinct sites (fractional):
K 0.0000 0.0000 0.0000 [3 per cell]
Ga 0.0528 0.8048 0.6154 [18 per cell]
S 0.0000 0.0000 0.3310 [6 per cell]
S 0.0181 0.6433 0.7765 [18 per cell]

# 8
Structure and simulated powder diffractogram of KGaS4 (DFT lattice parameters and positions (PBE); copper Kα).

Peak list (12 most intense, 2θ = 5–70°, most intense first)
2θ 25.38, I = 100.0
2θ 18.00, I = 65.3
2θ 28.40, I = 25.5
2θ 11.78, I = 21.8
2θ 12.31, I = 21.5
2θ 35.85, I = 19.1
2θ 28.64, I = 18.8
2θ 48.44, I = 16.5
2θ 36.88, I = 16.2
2θ 40.73, I = 15.7
2θ 19.48, I = 14.6
2θ 39.53, I = 14.5

Cell and atoms:
a b c (Å): 15.301 6.919 7.320
angles (deg): 90.00 100.84 90.00
Space group C2/m (No. 12)
Symmetry-distinct sites (fractional):
K 0.203 0.000 0.195 [4 per cell]
Ga 0.091 0.500 0.096 [4 per cell]
S 0.000 0.249 0.000 [4 per cell]
S 0.061 0.183 0.557 [8 per cell]
S 0.229 0.500 0.215 [4 per cell]

# 9
Structure and simulated powder diffractogram of K3Sc3GaS8 (DFT lattice parameters and positions (PBE); copper Kα).

Peak list (12 most intense, 2θ = 5–70°, most intense first)
2θ 31.90, I = 100.0
2θ 11.75, I = 44.4
2θ 48.80, I = 30.1
2θ 42.50, I = 29.0
2θ 39.45, I = 14.6
2θ 59.49, I = 14.0
2θ 14.25, I = 12.8
2θ 52.80, I = 8.1
2θ 49.19, I = 5.7
2θ 50.38, I = 5.6
2θ 64.48, I = 4.9
2θ 26.66, I = 4.5

Cell and atoms:
a b c (Å): 12.939 7.459 8.684
angles (deg): 90.00 119.82 90.00
Space group C2/m (No. 12)
Symmetry-distinct sites (fractional):
K 0.000 0.000 0.000 [2 per cell]
K 0.250 0.250 0.000 [4 per cell]
Sc 0.000 0.500 0.500 [2 per cell]
Sc 0.250 0.250 0.500 [4 per cell]
Ga 0.000 0.000 0.500 [2 per cell]
S 0.019 0.245 0.313 [8 per cell]
S 0.226 0.000 0.687 [4 per cell]
S 0.231 0.500 0.693 [4 per cell]

# 10
Structure and simulated powder diffractogram of K2GaSnS4 (DFT lattice parameters and positions (PBE); copper Kα).

Peak list (12 most intense, 2θ = 5–70°, most intense first)
2θ 14.86, I = 100.0
2θ 15.27, I = 80.8
2θ 26.37, I = 52.9
2θ 48.75, I = 43.3
2θ 31.14, I = 39.3
2θ 30.73, I = 36.6
2θ 36.77, I = 36.0
2θ 39.36, I = 29.8
2θ 34.86, I = 28.7
2θ 24.14, I = 19.5
2θ 45.37, I = 19.3
2θ 45.66, I = 18.1

Cell and atoms:
a b c (Å): 6.308 13.895 23.206
angles (deg): 90.00 90.00 90.00
Space group Fddd (No. 70, origin choice 2)
Symmetry-distinct sites (fractional):
K 0.125 0.125 0.310 [16 per cell]
Ga 0.125 0.125 0.625 [8 per cell]
Sn 0.125 0.125 0.125 [8 per cell]
S 0.095 0.274 0.822 [32 per cell]

# 11
Structure and simulated powder diffractogram of K2TbGaS4 (DFT lattice parameters and positions (PBE); copper Kα).

Peak list (12 most intense, 2θ = 5–70°, most intense first)
2θ 13.48, I = 100.0
2θ 30.61, I = 83.2
2θ 30.96, I = 79.8
2θ 31.28, I = 75.2
2θ 44.10, I = 54.6
2θ 44.33, I = 52.1
2θ 26.29, I = 46.7
2θ 27.15, I = 39.1
2θ 25.45, I = 33.7
2θ 45.66, I = 30.5
2θ 55.99, I = 26.0
2θ 43.48, I = 25.5

Cell and atoms:
a b c (Å): 11.452 11.681 7.946
angles (deg): 90.00 133.36 90.00
Space group C2/c (No. 15)
Symmetry-distinct sites (fractional):
K 0.000 0.000 0.000 [4 per cell]
K 0.250 0.250 0.000 [4 per cell]
Tb 0.250 0.250 0.500 [4 per cell]
Ga 0.000 0.500 0.000 [4 per cell]
S 0.001 0.269 0.025 [8 per cell]
S 0.201 0.490 0.458 [8 per cell]

# 12
Structure and simulated powder diffractogram of KThGaS4 (DFT lattice parameters and positions (PBE); copper Kα).

Peak list (12 most intense, 2θ = 5–70°, most intense first)
2θ 10.42, I = 100.0
2θ 31.72, I = 27.5
2θ 26.69, I = 24.7
2θ 32.72, I = 24.6
2θ 19.37, I = 23.9
2θ 16.89, I = 23.0
2θ 28.71, I = 20.4
2θ 39.31, I = 18.7
2θ 19.89, I = 14.9
2θ 24.85, I = 14.7
2θ 25.27, I = 13.9
2θ 40.97, I = 12.4

Cell and atoms:
a b c (Å): 6.610 6.679 8.908
angles (deg): 90.00 107.57 90.00
Space group P2_1/m (No. 11)
Symmetry-distinct sites (fractional):
K 0.232 0.250 0.437 [2 per cell]
Th 0.268 0.250 0.945 [2 per cell]
Ga 0.272 0.750 0.175 [2 per cell]
S 0.061 0.750 0.918 [2 per cell]
S 0.067 0.750 0.335 [2 per cell]
S 0.491 0.509 0.793 [4 per cell]